1.
Diffraction record for Li2Ti3NbO8. The powder XRD pattern is computed, not measured: it uses DFT lattice parameters and positions (PBE) and Cu Kα (weighted mean of Kα1 and Kα2).
No peak broadening, texture or thermal motion is included.

Structure:
a b c (Å): 6.049 6.049 6.049
angles (deg): 60.08 60.08 60.08
Positions (direct):
Li 0.125 0.125 0.125
Li 0.875 0.875 0.875
Ti 0.000 0.500 0.500
Ti 0.500 0.000 0.500
Ti 0.500 0.500 0.000
Nb 0.500 0.500 0.500
O 0.256 0.256 0.717
O 0.256 0.717 0.256
O 0.264 0.264 0.264
O 0.283 0.744 0.744
O 0.717 0.256 0.256
O 0.736 0.736 0.736
O 0.744 0.283 0.744
O 0.744 0.744 0.283

Most intense lines, 2θ = 10–90°, most intense first:
2theta	intensity
17.9	100
42.2	53
34.8	51
61.3	33
55.8	21
64.4	15
46.2	14
36.4	11

---

2.
Diffraction record for Li7Ti12NbO30. The powder XRD pattern is computed, not measured: it uses DFT lattice parameters and positions (PBE) and Cu Kα (weighted mean of Kα1 and Kα2).
No peak broadening, texture or thermal motion is included.

Structure:
a b c (Å): 23.754 23.754 23.754
angles (deg): 12.42 12.42 12.42
Positions (direct):
Li 0.000 0.000 0.000
Li 0.052 0.052 0.052
Li 0.272 0.272 0.272
Li 0.417 0.417 0.417
Li 0.552 0.552 0.552
Li 0.635 0.635 0.635
Li 0.916 0.916 0.916
Ti 0.091 0.091 0.091
Ti 0.131 0.131 0.131
Ti 0.188 0.188 0.188
Ti 0.230 0.230 0.230
Ti 0.322 0.322 0.322
Ti 0.364 0.364 0.364
Ti 0.459 0.459 0.459
Ti 0.592 0.592 0.592
Ti 0.688 0.688 0.688
Ti 0.731 0.731 0.731
Ti 0.824 0.824 0.824
Ti 0.864 0.864 0.864
Nb 0.958 0.958 0.958
O 0.011 0.648 0.270
O 0.021 0.674 0.433
O 0.032 0.377 0.622
O 0.042 0.401 0.786
O 0.094 0.902 0.533
O 0.138 0.484 0.806
O 0.175 0.522 0.931
O 0.190 0.789 0.354
O 0.270 0.011 0.648
O 0.281 0.651 0.896
O 0.290 0.906 0.534
O 0.354 0.190 0.789
O 0.377 0.622 0.032
O 0.401 0.786 0.042
O 0.433 0.021 0.674
O 0.484 0.806 0.138
O 0.522 0.931 0.175
O 0.533 0.094 0.902
O 0.534 0.290 0.906
O 0.622 0.032 0.377
O 0.648 0.270 0.011
O 0.651 0.896 0.281
O 0.674 0.433 0.021
O 0.786 0.042 0.401
O 0.789 0.354 0.190
O 0.806 0.138 0.484
O 0.896 0.281 0.651
O 0.902 0.533 0.094
O 0.906 0.534 0.290
O 0.931 0.175 0.522

Most intense lines, 2θ = 10–90°, most intense first:
2theta	intensity
22.4	100
34.4	50
52.7	44
34.9	33
49.8	31
40.0	28
62.6	24
62.3	21

---

3.
Diffraction record for Li9Ti7Nb5O30. The powder XRD pattern is computed, not measured: it uses DFT lattice parameters and positions (PBE) and Cu Kα (weighted mean of Kα1 and Kα2).
No peak broadening, texture or thermal motion is included.

Structure:
a b c (Å): 5.172 5.172 24.168
angles (deg): 90.00 90.00 120.00
Positions (direct):
Li 0.000 0.000 0.000
Li 0.000 0.000 0.158
Li 0.000 0.000 0.450
Li 0.000 0.000 0.704
Li 0.333 0.667 0.351
Li 0.333 0.667 0.603
Li 0.333 0.667 0.870
Li 0.667 0.333 0.280
Li 0.667 0.333 0.551
Ti 0.333 0.667 0.092
Ti 0.333 0.667 0.762
Ti 0.333 0.667 0.972
Ti 0.667 0.333 0.061
Ti 0.667 0.333 0.184
Ti 0.667 0.333 0.668
Ti 0.667 0.333 0.791
Nb 0.000 0.000 0.281
Nb 0.000 0.000 0.578
Nb 0.000 0.000 0.879
Nb 0.333 0.667 0.480
Nb 0.667 0.333 0.385
O 0.006 0.632 0.429
O 0.009 0.663 0.822
O 0.020 0.634 0.028
O 0.043 0.335 0.529
O 0.076 0.334 0.924
O 0.258 0.924 0.924
O 0.292 0.957 0.529
O 0.332 0.251 0.226
O 0.337 0.346 0.822
O 0.338 0.046 0.329
O 0.339 0.293 0.627
O 0.366 0.386 0.028
O 0.368 0.374 0.429
O 0.388 0.022 0.122
O 0.392 0.018 0.729
O 0.614 0.980 0.028
O 0.626 0.994 0.429
O 0.627 0.608 0.729
O 0.634 0.612 0.122
O 0.654 0.991 0.822
O 0.665 0.708 0.529
O 0.666 0.742 0.924
O 0.707 0.046 0.627
O 0.709 0.662 0.329
O 0.749 0.081 0.226
O 0.919 0.668 0.226
O 0.954 0.291 0.329
O 0.954 0.661 0.627
O 0.978 0.366 0.122
O 0.982 0.373 0.729

Most intense lines, 2θ = 10–90°, most intense first:
2theta	intensity
22.7	100
51.8	49
34.7	38
32.7	32
24.7	30
21.2	26
62.2	22
29.8	20

---

4.
Diffraction record for Li2Ti3NbO8. The powder XRD pattern is computed, not measured: it uses DFT lattice parameters and positions (PBE) and Cu Kα (weighted mean of Kα1 and Kα2).
No peak broadening, texture or thermal motion is included.

Structure:
a b c (Å): 5.969 5.969 9.847
angles (deg): 90.00 90.00 120.00
Positions (direct):
Li 0.000 0.000 0.000
Li 0.000 0.000 0.500
Li 0.333 0.667 0.405
Li 0.667 0.333 0.905
Ti 0.170 0.340 0.722
Ti 0.170 0.830 0.722
Ti 0.340 0.170 0.222
Ti 0.660 0.830 0.722
Ti 0.830 0.170 0.222
Ti 0.830 0.660 0.222
Nb 0.333 0.667 0.995
Nb 0.667 0.333 0.495
O 0.000 0.000 0.317
O 0.000 0.000 0.817
O 0.036 0.518 0.845
O 0.163 0.327 0.105
O 0.163 0.837 0.105
O 0.327 0.163 0.605
O 0.333 0.667 0.610
O 0.482 0.518 0.845
O 0.482 0.964 0.845
O 0.518 0.036 0.345
O 0.518 0.482 0.345
O 0.667 0.333 0.110
O 0.673 0.837 0.105
O 0.837 0.163 0.605
O 0.837 0.673 0.605
O 0.964 0.482 0.345

Most intense lines, 2θ = 10–90°, most intense first:
2theta	intensity
19.4	100
35.2	53
32.3	36
44.6	35
59.0	32
25.0	31
62.2	27
35.9	25

---

5.
Diffraction record for Li4Ti3Nb5O16. The powder XRD pattern is computed, not measured: it uses DFT lattice parameters and positions (PBE) and Cu Kα (weighted mean of Kα1 and Kα2).
No peak broadening, texture or thermal motion is included.

Structure:
a b c (Å): 6.106 6.106 9.812
angles (deg): 90.72 90.72 59.14
Positions (direct):
Li 0.000 0.000 0.000
Li 0.012 0.012 0.506
Li 0.340 0.340 0.918
Li 0.677 0.677 0.400
Ti 0.174 0.673 0.223
Ti 0.673 0.174 0.223
Ti 0.840 0.840 0.728
Nb 0.182 0.182 0.218
Nb 0.346 0.346 0.505
Nb 0.385 0.822 0.734
Nb 0.671 0.671 0.968
Nb 0.822 0.385 0.734
O 0.004 0.538 0.852
O 0.011 0.011 0.321
O 0.012 0.012 0.816
O 0.050 0.499 0.351
O 0.177 0.680 0.603
O 0.184 0.184 0.600
O 0.336 0.849 0.106
O 0.351 0.351 0.113
O 0.488 0.488 0.347
O 0.499 0.050 0.351
O 0.502 0.502 0.859
O 0.538 0.004 0.852
O 0.680 0.177 0.603
O 0.691 0.691 0.599
O 0.848 0.848 0.114
O 0.849 0.336 0.106

Most intense lines, 2θ = 10–90°, most intense first:
2theta	intensity
19.1	100
18.1	42
34.8	39
18.9	37
19.3	34
60.7	31
44.5	30
24.9	29

---

6.
Diffraction record for Li2Ti3NbO8. The powder XRD pattern is computed, not measured: it uses DFT lattice parameters and positions (PBE) and Cu Kα (weighted mean of Kα1 and Kα2).
No peak broadening, texture or thermal motion is included.

Structure:
a b c (Å): 8.559 8.559 8.559
angles (deg): 90.00 90.00 90.00
Positions (direct):
Li 0.003 0.497 0.503
Li 0.247 0.747 0.753
Li 0.253 0.253 0.253
Li 0.497 0.503 0.003
Li 0.503 0.003 0.497
Li 0.747 0.753 0.247
Li 0.753 0.247 0.747
Li 0.997 0.997 0.997
Ti 0.123 0.127 0.625
Ti 0.125 0.377 0.873
Ti 0.127 0.625 0.123
Ti 0.373 0.375 0.623
Ti 0.375 0.623 0.373
Ti 0.377 0.873 0.125
Ti 0.623 0.373 0.375
Ti 0.625 0.123 0.127
Ti 0.627 0.875 0.877
Ti 0.873 0.125 0.377
Ti 0.875 0.877 0.627
Ti 0.877 0.627 0.875
Nb 0.125 0.875 0.375
Nb 0.375 0.125 0.875
Nb 0.625 0.625 0.625
Nb 0.875 0.375 0.125
O 0.109 0.119 0.388
O 0.112 0.612 0.888
O 0.112 0.891 0.619
O 0.119 0.388 0.109
O 0.131 0.141 0.862
O 0.138 0.362 0.638
O 0.138 0.631 0.359
O 0.141 0.862 0.131
O 0.359 0.138 0.631
O 0.362 0.369 0.859
O 0.362 0.638 0.138
O 0.369 0.859 0.362
O 0.381 0.612 0.609
O 0.388 0.109 0.119
O 0.388 0.388 0.388
O 0.391 0.881 0.888
O 0.609 0.381 0.612
O 0.612 0.609 0.381
O 0.612 0.888 0.112
O 0.619 0.112 0.891
O 0.631 0.359 0.138
O 0.638 0.138 0.362
O 0.638 0.869 0.641
O 0.641 0.638 0.869
O 0.859 0.362 0.369
O 0.862 0.131 0.141
O 0.862 0.862 0.862
O 0.869 0.641 0.638
O 0.881 0.888 0.391
O 0.888 0.112 0.612
O 0.888 0.391 0.881
O 0.891 0.619 0.112

Most intense lines, 2θ = 10–90°, most intense first:
2theta	intensity
18.0	100
42.2	57
34.8	49
61.3	35
55.8	21
64.4	15
36.4	12
46.2	11

---

Copy entry 3 word for word.
Diffraction record for Li9Ti7Nb5O30. The powder XRD pattern is computed, not measured: it uses DFT lattice parameters and positions (PBE) and Cu Kα (weighted mean of Kα1 and Kα2).
No peak broadening, texture or thermal motion is included.

Structure:
a b c (Å): 5.172 5.172 24.168
angles (deg): 90.00 90.00 120.00
Positions (direct):
Li 0.000 0.000 0.000
Li 0.000 0.000 0.158
Li 0.000 0.000 0.450
Li 0.000 0.000 0.704
Li 0.333 0.667 0.351
Li 0.333 0.667 0.603
Li 0.333 0.667 0.870
Li 0.667 0.333 0.280
Li 0.667 0.333 0.551
Ti 0.333 0.667 0.092
Ti 0.333 0.667 0.762
Ti 0.333 0.667 0.972
Ti 0.667 0.333 0.061
Ti 0.667 0.333 0.184
Ti 0.667 0.333 0.668
Ti 0.667 0.333 0.791
Nb 0.000 0.000 0.281
Nb 0.000 0.000 0.578
Nb 0.000 0.000 0.879
Nb 0.333 0.667 0.480
Nb 0.667 0.333 0.385
O 0.006 0.632 0.429
O 0.009 0.663 0.822
O 0.020 0.634 0.028
O 0.043 0.335 0.529
O 0.076 0.334 0.924
O 0.258 0.924 0.924
O 0.292 0.957 0.529
O 0.332 0.251 0.226
O 0.337 0.346 0.822
O 0.338 0.046 0.329
O 0.339 0.293 0.627
O 0.366 0.386 0.028
O 0.368 0.374 0.429
O 0.388 0.022 0.122
O 0.392 0.018 0.729
O 0.614 0.980 0.028
O 0.626 0.994 0.429
O 0.627 0.608 0.729
O 0.634 0.612 0.122
O 0.654 0.991 0.822
O 0.665 0.708 0.529
O 0.666 0.742 0.924
O 0.707 0.046 0.627
O 0.709 0.662 0.329
O 0.749 0.081 0.226
O 0.919 0.668 0.226
O 0.954 0.291 0.329
O 0.954 0.661 0.627
O 0.978 0.366 0.122
O 0.982 0.373 0.729

Most intense lines, 2θ = 10–90°, most intense first:
2theta	intensity
22.7	100
51.8	49
34.7	38
32.7	32
24.7	30
21.2	26
62.2	22
29.8	20

---

Q: What is the formula in the fifth record?
A: Li4Ti3Nb5O16